No. 1
# MgB2H8
Simulated XRD peak list, Cu Kα, 1.54184 Å. Input: a DFT-relaxed cell (GGA-PBE, the Materials Project).

Cell and atoms:
```
22
Lattice="0.000 5.670 5.956 5.140 0.000 5.956 5.140 5.670 0.000" Properties=species:S:1:pos:R:3 pbc="T T T"
Mg 0.000 0.000 0.000
Mg 2.570 2.835 2.978
B 1.516 1.283 1.418
B 3.624 1.283 4.538
B 3.624 4.388 1.418
B 1.516 4.388 4.538
H 6.416 5.773 1.651
H 6.319 1.673 6.265
H 4.252 1.943 3.716
H 4.252 3.727 2.240
H 3.961 1.673 5.647
H 3.864 5.568 1.651
H 7.544 7.073 4.485
H 7.544 4.268 7.428
H 0.888 1.943 2.240
H 2.736 4.268 4.485
H 0.888 3.727 3.716
H 6.319 9.668 5.647
H 6.416 5.568 10.262
H 2.736 7.073 7.428
H 3.961 9.668 6.265
H 3.864 5.773 10.262
```

Most intense lines, 2θ = 15–90°, low angle first:
21.64°, I = 100
22.85°, I = 78
23.36°, I = 70
27.81°, I = 58
33.88°, I = 71
35.50°, I = 50
36.18°, I = 44
38.37°, I = 45
39.32°, I = 42
41.45°, I = 43

---

No. 2
# MgB2H8
Simulated XRD peak list, Cu Kα, 1.54184 Å. Input: a DFT-relaxed cell (GGA-PBE, the Materials Project).

Cell and atoms:
```
44
Lattice="-4.190 4.190 5.332 4.190 -4.190 5.332 4.190 4.190 -5.332" Properties=species:S:1:pos:R:3 pbc="T T T"
Mg 4.190 -2.095 3.999
Mg 4.190 2.095 1.333
Mg 0.000 2.095 3.999
Mg 0.000 6.285 1.333
B 2.224 2.095 -0.204
B 6.156 2.095 -0.204
B 0.000 0.129 2.462
B 4.190 0.129 2.870
B 0.000 4.061 2.462
B 4.190 4.061 2.870
B -1.966 2.095 5.536
B 1.966 2.095 5.536
H 4.190 -0.945 2.274
H 2.120 2.095 -1.424
H 6.260 2.095 -1.424
H 0.000 0.025 1.243
H 2.811 1.067 0.106
H 5.569 1.067 0.106
H 4.190 3.245 -2.274
H 1.150 2.095 0.392
H 3.040 -2.095 5.725
H 3.162 0.716 2.560
H 5.218 0.716 2.560
H 3.162 4.906 -2.560
H 1.028 0.716 2.772
H 2.811 3.123 0.106
H 1.379 -1.067 5.438
H 4.190 0.025 4.090
H 0.000 4.165 1.243
H 2.811 5.257 -0.106
H 1.379 1.067 5.226
H 3.162 3.474 2.560
H 1.028 -0.716 7.892
H -1.028 3.474 2.772
H 1.028 3.474 2.772
H 1.150 6.285 -0.392
H 3.040 2.095 4.940
H 0.000 0.945 7.606
H -1.379 3.123 5.226
H 1.379 3.123 5.226
H 4.190 4.165 4.090
H -2.070 2.095 6.756
H 2.070 2.095 6.756
H 0.000 5.135 3.059
```

Most intense lines, 2θ = 15–90°, low angle first:
21.20°, I = 64
22.43°, I = 100
27.07°, I = 42
37.91°, I = 54
40.09°, I = 23
43.18°, I = 21
45.78°, I = 31
49.19°, I = 15
58.79°, I = 13
60.38°, I = 13

---

No. 3
# MgB2H7
Simulated XRD peak list, Cu Kα, 1.54184 Å. Input: a DFT-relaxed cell (GGA-PBE, the Materials Project).

Cell and atoms:
```
40
Lattice="7.884 0.000 0.000 0.254 8.345 0.000 0.193 0.060 10.178" Properties=species:S:1:pos:R:3 pbc="T T T"
Mg 0.000 0.000 0.000
Mg 0.944 3.825 1.785
Mg 4.214 0.432 7.646
Mg 5.749 2.981 2.344
B 0.740 6.052 0.759
B 2.266 0.438 8.929
B 3.389 3.309 1.975
B 4.478 1.065 5.626
B 6.225 8.092 9.007
B 6.974 4.502 3.659
B 7.269 2.387 0.576
B 7.615 1.599 1.920
H 0.379 2.908 9.957
H 0.309 4.278 3.565
H 0.358 6.957 1.506
H 0.832 1.361 2.369
H 1.144 6.447 9.778
H 1.183 0.530 8.387
H 1.799 5.653 1.236
H 2.270 0.330 10.146
H 2.693 3.590 2.948
H 3.028 7.748 8.478
H 2.870 1.479 8.666
H 2.792 3.187 0.910
H 3.341 1.398 5.970
H 3.890 2.203 2.227
H 4.201 4.223 1.834
H 4.823 8.171 5.764
H 4.720 1.368 4.493
H 5.287 1.598 6.415
H 5.354 0.798 9.194
H 5.653 7.275 8.283
H 6.350 7.575 10.102
H 6.123 2.715 0.265
H 6.462 3.480 4.132
H 6.514 4.809 2.552
H 6.812 5.426 4.415
H 6.745 1.243 2.725
H 7.256 8.394 8.428
H 7.736 5.212 0.712
```

Most intense lines, 2θ = 15–90°, low angle first:
15.70°, I = 54
17.42°, I = 64
17.70°, I = 65
20.39°, I = 67
20.49°, I = 46
20.96°, I = 43
21.29°, I = 47
23.00°, I = 100
25.29°, I = 41
38.91°, I = 42

---

No. 4
# MgB2H8
Simulated XRD peak list, Cu Kα, 1.54184 Å. Input: a DFT-relaxed cell (GGA-PBE, the Materials Project).

Cell and atoms:
```
22
Lattice="-4.168 4.168 4.380 4.168 -4.168 4.380 4.168 4.168 -4.380" Properties=species:S:1:pos:R:3 pbc="T T T"
Mg 0.000 0.000 0.000
Mg 0.000 4.168 2.190
B 0.000 1.863 1.479
B -2.305 4.168 2.901
B 2.305 4.168 2.901
B 0.000 6.473 1.479
H 4.168 2.034 -1.703
H -1.038 1.241 1.282
H 1.038 1.241 1.282
H 0.000 2.820 0.708
H 0.000 2.134 2.677
H 2.034 4.168 1.703
H 2.134 0.000 6.083
H -2.927 3.130 3.099
H 2.927 3.130 3.099
H 0.000 5.516 0.708
H -1.348 4.168 3.672
H 1.348 4.168 3.672
H -2.927 5.206 3.099
H 2.927 5.206 3.099
H -1.038 7.095 1.282
H 1.038 7.095 1.282
```

Most intense lines, 2θ = 15–90°, low angle first:
21.32°, I = 100
25.33°, I = 94
29.58°, I = 28
33.84°, I = 71
39.19°, I = 53
39.91°, I = 85
43.42°, I = 29
46.07°, I = 34
50.34°, I = 35
56.16°, I = 34

---

No. 5
# MgB2H8
Simulated XRD peak list, Cu Kα, 1.54184 Å. Input: a DFT-relaxed cell (GGA-PBE, the Materials Project).

Cell and atoms:
```
44
Lattice="-3.867 3.867 6.182 3.867 -3.867 6.182 3.867 3.867 -6.182" Properties=species:S:1:pos:R:3 pbc="T T T"
Mg 3.867 1.933 -1.545
Mg 0.000 1.933 1.545
Mg 3.867 1.933 4.636
Mg 0.000 1.933 7.727
B 1.933 1.679 0.000
B 0.255 0.000 3.091
B 4.121 0.000 3.091
B 1.933 -1.679 6.182
B 1.933 5.545 0.000
B -0.255 3.867 3.091
B 3.612 3.867 3.091
B 1.933 2.188 6.182
H 5.816 1.459 -0.990
H 4.845 2.887 -3.164
H 0.953 0.955 -0.074
H 2.913 0.955 0.074
H 4.845 -0.980 3.164
H 3.392 3.850 -4.081
H 3.392 0.016 2.100
H 1.917 2.408 -0.990
H 5.784 1.459 0.990
H 3.392 -0.016 4.081
H 3.392 3.883 -2.100
H 2.913 -0.955 6.108
H 4.845 0.980 3.017
H 4.820 2.912 0.074
H 0.979 0.980 3.164
H 1.950 2.408 0.990
H 1.917 1.459 5.191
H 2.888 2.887 3.017
H -0.953 0.955 6.108
H -0.979 2.887 3.164
H 0.953 4.821 0.074
H 0.475 -0.016 8.282
H 0.475 3.883 2.100
H -1.917 2.408 5.191
H 1.950 1.459 7.172
H 0.475 3.850 4.081
H 0.475 0.016 10.263
H -0.979 4.846 3.017
H 0.953 2.912 6.108
H 2.913 2.912 6.255
H -0.979 0.980 9.346
H -1.950 2.408 7.172
```

Most intense lines, 2θ = 15–90°, low angle first:
21.70°, I = 100
23.00°, I = 38
27.20°, I = 35
37.24°, I = 25
39.63°, I = 41
44.23°, I = 31
47.00°, I = 12
47.13°, I = 12
52.95°, I = 10
58.58°, I = 12

---

No. 6
# MgB2H8
Simulated XRD peak list, Cu Kα, 1.54184 Å. Input: a DFT-relaxed cell (GGA-PBE, the Materials Project).

Cell and atoms:
```
44
Lattice="0.000 6.207 6.207 6.207 0.000 6.207 6.207 6.207 0.000" Properties=species:S:1:pos:R:3 pbc="T T T"
Mg 1.552 1.552 1.552
Mg 4.655 4.655 4.655
Mg 7.759 7.759 7.759
Mg 10.862 10.862 10.862
B 9.513 6.004 6.004
B 2.901 2.901 2.901
B 6.410 6.410 2.901
B 6.410 2.901 6.410
B 6.004 9.513 6.004
B 6.004 6.004 9.513
B 9.513 9.513 9.513
B 2.901 6.410 6.410
H 3.169 3.169 1.745
H 6.142 6.142 1.745
H 3.169 1.745 3.169
H 7.565 6.142 3.169
H 6.142 1.745 6.142
H 7.565 3.169 6.142
H 9.245 6.273 4.849
H 9.245 4.849 6.273
H 10.669 6.273 6.273
H 3.618 3.618 3.618
H 5.693 5.693 3.618
H 5.693 3.618 5.693
H 1.745 3.169 3.169
H 6.142 7.565 3.169
H 6.142 3.169 7.565
H 8.797 6.721 6.721
H 3.618 5.693 5.693
H 6.273 9.245 4.849
H 6.273 4.849 9.245
H 10.669 9.245 9.245
H 6.721 8.797 6.721
H 6.721 6.721 8.797
H 8.797 8.797 8.797
H 1.745 6.142 6.142
H 3.169 7.565 6.142
H 3.169 6.142 7.565
H 4.849 9.245 6.273
H 6.273 10.669 6.273
H 4.849 6.273 9.245
H 9.245 10.669 9.245
H 6.273 6.273 10.669
H 9.245 9.245 10.669
```

Most intense lines, 2θ = 15–90°, low angle first:
20.23°, I = 100
24.85°, I = 25
35.42°, I = 39
41.13°, I = 27
46.25°, I = 15
55.38°, I = 24
59.58°, I = 5
63.60°, I = 12
74.96°, I = 6
78.59°, I = 11

---

No. 7
# MgB2H8
Simulated XRD peak list, Cu Kα, 1.54184 Å. Input: a DFT-relaxed cell (GGA-PBE, the Materials Project).

Cell and atoms:
```
11
Lattice="4.277 0.000 0.000 -2.139 3.704 0.000 0.000 0.000 5.366" Properties=species:S:1:pos:R:3 pbc="T T T"
Mg 0.000 0.000 0.000
B 0.000 2.469 1.097
B 2.139 1.235 4.269
H 0.000 1.338 1.563
H -0.980 3.035 1.563
H 0.000 2.469 5.243
H 1.159 0.669 3.803
H 0.980 3.035 1.563
H 2.139 1.235 0.123
H 3.118 0.669 3.803
H 2.139 2.366 3.803
```

Most intense lines, 2θ = 15–90°, low angle first:
16.52°, I = 99
24.03°, I = 26
29.30°, I = 100
41.56°, I = 47
42.26°, I = 39
45.67°, I = 39
52.25°, I = 15
57.19°, I = 19
60.77°, I = 17
76.80°, I = 14